Li4Ti2Fe3Ni3O16: simulated powder X-ray diffraction pattern (Cu Ka), based on the GGA+U geometry in the Materials Project.
Kinematic intensities with the Lorentz-polarization factor, no thermal factor.

```
Li4Ti2Fe3Ni3O16
1.0
5.101 -2.904 0.000
5.101 2.904 0.000
-0.177 0.000 9.510
Li Ti Fe Ni O
4 2 3 3 16
direct
0.000 0.000 0.000
0.001 0.001 0.503
0.336 0.336 0.603
0.660 0.660 0.096
0.329 0.329 0.000
0.668 0.668 0.500
0.166 0.656 0.279
0.656 0.166 0.279
0.827 0.827 0.779
0.168 0.168 0.284
0.337 0.830 0.783
0.830 0.337 0.783
0.002 0.002 0.692
0.004 0.004 0.190
0.035 0.471 0.152
0.150 0.658 0.903
0.159 0.159 0.898
0.327 0.327 0.390
0.331 0.831 0.405
0.471 0.035 0.152
0.477 0.477 0.150
0.522 0.522 0.660
0.527 0.963 0.653
0.658 0.150 0.903
0.659 0.659 0.885
0.830 0.830 0.400
0.831 0.331 0.405
0.963 0.527 0.653
```

Largest 10 diffraction maxima, most intense first, 2θ from 5° to 70°:
2θ (°), intensity
18.66, 100.0
19.86, 58.7
36.26, 51.2
19.99, 40.5
46.16, 40.1
63.40, 33.9
61.31, 29.2
45.75, 28.3
36.76, 27.1
36.93, 24.2